Entry 1:
Diffraction record for Pu6CuRh5. The powder diffractogram is computed, not measured: it uses DFT lattice parameters and positions (PBE) and copper Kα.
Lines closer than 0.1° are merged.

Atomic structure:
```
data_Pu6CuRh5
_space_group_name_H-M_alt 'P -1'
_space_group_IT_number 2
_space_group_name_Hall '-P 1'
_cell_length_a 4.849
_cell_length_b 6.899
_cell_length_c 8.410
_cell_angle_alpha 65.84
_cell_angle_beta 73.28
_cell_angle_gamma 89.97
loop_
_atom_site_label
_atom_site_fract_x
_atom_site_fract_y
_atom_site_fract_z
_atom_site_occupancy
Pu1 0.001 0.245 0.498 1
Pu2 0.330 0.583 0.839 1
Pu3 0.331 0.079 0.838 1
Cu1 0.500 0.500 0.500 1
Rh1 0.165 0.665 0.173 1
Rh2 0.167 0.165 0.167 1
Rh3 0.500 0.000 0.500 1
```

Largest 12 diffraction maxima, in order of rising 2θ, 10° ≤ 2θ ≤ 80°:
d [Å]  I/Imax  (hkl)
3.449  10  0 2 1
3.431  19  1 0 2
2.433  100  1 2 3
2.426  50  2 0 1
1.984  9  2 2 2
1.725  9  0 4 2
1.715  18  2 0 4
1.535  6  3 0 0
1.406  18  2 4 3
1.402  22  3 2 1
1.401  14  3 2 4
1.217  6  2 4 0

=====

Entry 2:
Diffraction record for Sc5PbC. The powder diffractogram is computed, not measured: it uses DFT lattice parameters and positions (PBE) and copper Kα.
Lines closer than 0.1° are merged.

Atomic structure:
```
data_Sc5PbC
_space_group_name_H-M_alt 'C 1 2/c 1'
_space_group_IT_number 15
_space_group_name_Hall '-C 2yc'
_cell_length_a 11.283
_cell_length_b 6.347
_cell_length_c 9.280
_cell_angle_alpha 90.00
_cell_angle_beta 114.28
_cell_angle_gamma 90.00
loop_
_atom_site_label
_atom_site_fract_x
_atom_site_fract_y
_atom_site_fract_z
_atom_site_occupancy
Sc1 0.000 0.000 0.250 1
Sc2 0.149 0.249 0.074 1
Sc3 0.150 0.248 0.575 1
Pb1 0.000 0.500 0.250 1
C1 0.000 0.000 0.000 1
```

Largest 12 diffraction maxima, in order of rising 2θ, 10° ≤ 2θ ≤ 80°:
d [Å]  I/Imax  (hkl)
5.401  53  1 1 0
5.142  52  2 0 0
4.230  24  0 0 2
3.746  34  1 1 -2
3.028  39  1 1 2
2.757  88  2 0 2
2.701  49  2 2 0
2.538  100  0 2 2
2.320  31  2 0 -4
1.998  34  4 2 0
1.760  27  0 2 4
1.514  26  2 2 4